1.
Calculated powder diffractogram
Compound: Al3Ag
Radiation: Cu Kα X-rays
Structure: the PBE geometry in Alexandria

Top 6 peaks for 2θ from 10° to 80°, most intense first:
2θ 37.49, rel. 100, hkl 2 2 -1
2θ 39.00, rel. 81, hkl 0 2 2
2θ 19.93, rel. 42, hkl 1 1 0
2θ 20.30, rel. 38, hkl 1 1 -1
2θ 22.05, rel. 35, hkl 0 2 0
2θ 44.92, rel. 30, hkl 2 0 -3

Lattice parameters (Å, degrees): 5.973 8.063 6.296 90.00 116.48 90.00
Space group C2/m (No. 12)
One atom of each set of equivalent atoms:
Al: 0.000 0.249 0.000 (multiplicity 4)
Al: 0.123 0.500 0.745 (multiplicity 4)
Al: 0.250 0.250 0.500 (multiplicity 4)
Ag: 0.127 0.000 0.756 (multiplicity 4)



2.
Calculated powder diffractogram
Compound: Al2Ag7
Radiation: Cu Kα X-rays
Structure: the PBE geometry in Alexandria

Top 6 peaks for 2θ from 10° to 80°, most intense first:
2θ 38.97, rel. 100, hkl 0 1 3
2θ 39.20, rel. 97, hkl 1 1 0
2θ 56.46, rel. 32, hkl 2 0 3
2θ 70.89, rel. 32, hkl 1 2 3
2θ 24.69, rel. 18, hkl 0 1 1
2θ 71.04, rel. 15, hkl 3 0 0

Lattice parameters (Å, degrees): 4.5967 4.5967 8.5159 90.00 90.00 120.00
Space group P-3m1 (No. 164)
One atom of each set of equivalent atoms:
Al: 0.3333 0.6667 0.2795 (multiplicity 2)
Ag: 0.0000 0.0000 0.1719 (multiplicity 2)
Ag: 0.0000 0.0000 0.5000 (multiplicity 1)
Ag: 0.3333 0.6667 0.6160 (multiplicity 2)
Ag: 0.3333 0.6667 0.9551 (multiplicity 2)



3.
Calculated powder diffractogram
Compound: Al7Ag5
Radiation: Cu Kα X-rays
Structure: the PBE geometry in Alexandria

Top 6 peaks for 2θ from 10° to 80°, most intense first:
2θ 38.18, rel. 100, hkl 0 1 3
2θ 38.31, rel. 100, hkl 2 1 -1
2θ 10.06, rel. 43, hkl 0 0 1
2θ 43.42, rel. 39, hkl 2 0 2
2θ 45.76, rel. 32, hkl 0 2 0
2θ 44.15, rel. 32, hkl 2 0 -4

Lattice parameters (Å, degrees): 5.834 3.966 9.222 90.00 107.52 90.00
Space group Pm (No. 6)
One atom of each set of equivalent atoms:
Al: 0.000 0.000 0.000 (multiplicity 1)
Al: 0.006 0.500 0.497 (multiplicity 1)
Al: 0.165 0.500 0.827 (multiplicity 1)
Al: 0.336 0.000 0.667 (multiplicity 1)
Al: 0.347 0.500 0.170 (multiplicity 1)
Al: 0.514 0.500 0.504 (multiplicity 1)
Al: 0.847 0.000 0.664 (multiplicity 1)
Ag: 0.186 0.000 0.346 (multiplicity 1)
Ag: 0.482 0.000 0.995 (multiplicity 1)
Ag: 0.675 0.000 0.341 (multiplicity 1)
Ag: 0.675 0.500 0.821 (multiplicity 1)
Ag: 0.850 0.500 0.162 (multiplicity 1)



4.
Calculated powder diffractogram
Compound: Al5Ag3
Radiation: Cu Kα X-rays
Structure: the PBE geometry in Alexandria

Top 6 peaks for 2θ from 10° to 80°, most intense first:
2θ 24.36, rel. 100, hkl 1 1 1
2θ 37.48, rel. 100, hkl 2 2 0
2θ 38.80, rel. 90, hkl 0 2 2
2θ 44.39, rel. 60, hkl 2 0 2
2θ 64.45, rel. 38, hkl 2 4 2
2θ 44.23, rel. 31, hkl 0 4 0

Lattice parameters (Å, degrees): 5.923 8.192 5.633 90.00 90.00 90.00
Space group C222 (No. 21)
One atom of each set of equivalent atoms:
Al: 0.000 0.000 0.000 (multiplicity 2)
Al: 0.000 0.000 0.500 (multiplicity 2)
Al: 0.000 0.500 0.000 (multiplicity 2)
Al: 0.250 0.250 0.255 (multiplicity 4)
Ag: 0.000 0.500 0.500 (multiplicity 2)
Ag: 0.250 0.250 0.759 (multiplicity 4)



5.
Calculated powder diffractogram
Compound: AlAg5
Radiation: Cu Kα X-rays
Structure: the PBE geometry in Alexandria

Top 6 peaks for 2θ from 10° to 80°, most intense first:
2θ 37.53, rel. 100, hkl 0 1 3
2θ 38.10, rel. 97, hkl 1 1 0
2θ 43.76, rel. 64, hkl 1 0 3
2θ 64.04, rel. 39, hkl 1 2 3
2θ 77.00, rel. 34, hkl 2 1 3
2θ 44.31, rel. 31, hkl 0 2 0

Lattice parameters (Å, degrees): 2.894 4.089 8.874 90.00 90.00 90.00
Space group Pmmm (No. 47)
One atom of each set of equivalent atoms:
Al: 0.000 0.000 0.000 (multiplicity 1)
Ag: 0.000 0.000 0.330 (multiplicity 2)
Ag: 0.500 0.500 0.160 (multiplicity 2)
Ag: 0.500 0.500 0.500 (multiplicity 1)



6.
Calculated powder diffractogram
Compound: Al3Ag
Radiation: Cu Kα X-rays
Structure: the PBE geometry in Alexandria

Top 6 peaks for 2θ from 10° to 80°, most intense first:
2θ 38.09, rel. 100, hkl 0 4 1
2θ 38.57, rel. 96, hkl 2 4 -1
2θ 11.14, rel. 80, hkl 0 2 0
2θ 22.40, rel. 64, hkl 1 1 -1
2θ 27.35, rel. 43, hkl 1 3 0
2θ 43.75, rel. 33, hkl 2 0 0

Lattice parameters (Å, degrees): 5.771 15.887 4.099 90.00 134.18 90.00
Space group C2/c (No. 15)
One atom of each set of equivalent atoms:
Al: 0.000 0.060 0.250 (multiplicity 4)
Al: 0.000 0.187 0.750 (multiplicity 4)
Al: 0.000 0.438 0.750 (multiplicity 4)
Ag: 0.000 0.314 0.250 (multiplicity 4)



7.
Calculated powder diffractogram
Compound: AlAg3
Radiation: Cu Kα X-rays
Structure: the PBE geometry in Alexandria

Top 6 peaks for 2θ from 10° to 80°, most intense first:
2θ 38.41, rel. 100, hkl 4 -3 1
2θ 40.68, rel. 41, hkl 3 -1 4
2θ 40.58, rel. 36, hkl 3 1 2
2θ 38.60, rel. 29, hkl 0 1 5
2θ 28.43, rel. 26, hkl 2 -1 3
2θ 42.66, rel. 20, hkl 4 0 1

Lattice parameters (Å, degrees): 9.9508 9.9508 12.1144 90.00 90.00 120.00
Space group R3 (No. 146, hexagonal axes)
One atom of each set of equivalent atoms:
Al: 0.0000 0.0000 0.0000 (multiplicity 3)
Al: 0.0000 0.0000 0.3680 (multiplicity 3)
Al: 0.0326 0.4535 0.0808 (multiplicity 9)
Ag: 0.0083 0.1734 0.1837 (multiplicity 9)
Ag: 0.0535 0.8609 0.8001 (multiplicity 9)
Ag: 0.0943 0.7464 0.0166 (multiplicity 9)
Ag: 0.1258 0.3791 0.6228 (multiplicity 9)
Ag: 0.1905 0.1312 0.5686 (multiplicity 9)



8.
Calculated powder diffractogram
Compound: Al5Ag3
Radiation: Cu Kα X-rays
Structure: the PBE geometry in Alexandria

Top 6 peaks for 2θ from 10° to 80°, most intense first:
2θ 37.45, rel. 100, hkl 1 1 1
2θ 44.51, rel. 61, hkl 1 1 -3
2θ 38.29, rel. 47, hkl 2 0 -2
2θ 17.84, rel. 43, hkl 1 0 0
2θ 39.80, rel. 42, hkl 0 0 4
2θ 44.39, rel. 29, hkl 2 0 2

Lattice parameters (Å, degrees): 5.042 2.969 9.189 90.00 99.59 90.00
Space group Pm (No. 6)
One atom of each set of equivalent atoms:
Al: 0.000 0.000 0.000 (multiplicity 1)
Al: 0.010 0.500 0.498 (multiplicity 1)
Al: 0.251 0.000 0.749 (multiplicity 1)
Al: 0.732 0.000 0.250 (multiplicity 1)
Al: 0.758 0.500 0.750 (multiplicity 1)
Ag: 0.230 0.500 0.247 (multiplicity 1)
Ag: 0.501 0.500 0.993 (multiplicity 1)
Ag: 0.518 0.000 0.508 (multiplicity 1)



9.
Calculated powder diffractogram
Compound: Al5Ag3
Radiation: Cu Kα X-rays
Structure: the PBE geometry in Alexandria

Top 6 peaks for 2θ from 10° to 80°, most intense first:
2θ 38.23, rel. 100, hkl 1 0 4
2θ 35.23, rel. 34, hkl 1 0 3
2θ 44.40, rel. 33, hkl 1 1 0
2θ 64.66, rel. 29, hkl 2 0 0
2θ 77.62, rel. 23, hkl 2 1 4
2θ 44.50, rel. 15, hkl 0 0 8

Lattice parameters (Å, degrees): 2.885 2.885 16.286 90.00 90.00 90.00
Space group P4/mmm (No. 123)
One atom of each set of equivalent atoms:
Al: 0.000 0.000 0.000 (multiplicity 1)
Al: 0.000 0.000 0.244 (multiplicity 2)
Al: 0.500 0.500 0.121 (multiplicity 2)
Ag: 0.000 0.000 0.500 (multiplicity 1)
Ag: 0.500 0.500 0.366 (multiplicity 2)



10.
Calculated powder diffractogram
Compound: Al5Ag3
Radiation: Cu Kα X-rays
Structure: the PBE geometry in Alexandria

Top 6 peaks for 2θ from 10° to 80°, most intense first:
2θ 37.53, rel. 100, hkl 2 2 0
2θ 38.99, rel. 87, hkl 0 2 2
2θ 44.29, rel. 60, hkl 2 0 2
2θ 15.74, rel. 55, hkl 0 0 1
2θ 27.16, rel. 46, hkl 0 2 1
2θ 64.86, rel. 39, hkl 2 4 2

Lattice parameters (Å, degrees): 5.951 8.083 5.631 90.00 90.00 90.00
Space group Cmm2 (No. 35)
One atom of each set of equivalent atoms:
Al: 0.000 0.000 0.000 (multiplicity 2)
Al: 0.000 0.000 0.490 (multiplicity 2)
Al: 0.000 0.500 0.507 (multiplicity 2)
Al: 0.250 0.250 0.244 (multiplicity 4)
Ag: 0.000 0.500 0.018 (multiplicity 2)
Ag: 0.250 0.250 0.737 (multiplicity 4)



11.
Calculated powder diffractogram
Compound: Al2Ag
Radiation: Cu Kα X-rays
Structure: the PBE geometry in Alexandria

Top 6 peaks for 2θ from 10° to 80°, most intense first:
2θ 38.03, rel. 100, hkl 0 1 3
2θ 38.43, rel. 97, hkl 1 1 0
2θ 44.53, rel. 63, hkl 1 0 3
2θ 10.17, rel. 61, hkl 0 0 1
2θ 21.70, rel. 56, hkl 0 1 0
2θ 64.58, rel. 40, hkl 1 2 3

Lattice parameters (Å, degrees): 2.856 4.095 8.699 90.00 90.00 90.00
Space group Pmmm (No. 47)
One atom of each set of equivalent atoms:
Al: 0.000 0.000 0.000 (multiplicity 1)
Al: 0.000 0.000 0.338 (multiplicity 2)
Al: 0.500 0.500 0.500 (multiplicity 1)
Ag: 0.500 0.500 0.171 (multiplicity 2)



12.
Calculated powder diffractogram
Compound: Al5Ag3
Radiation: Cu Kα X-rays
Structure: the PBE geometry in Alexandria

Top 6 peaks for 2θ from 10° to 80°, most intense first:
2θ 37.76, rel. 100, hkl 1 2 0
2θ 24.60, rel. 50, hkl 1 1 1
2θ 38.34, rel. 48, hkl 1 0 -2
2θ 38.80, rel. 47, hkl 1 1 3
2θ 44.24, rel. 32, hkl 0 1 -3
2θ 43.97, rel. 31, hkl 0 2 2

Lattice parameters (Å, degrees): 4.040 5.068 7.544 78.33 75.14 66.77
Space group P1 (No. 1)
One atom of each set of equivalent atoms:
Al: 0.000 0.000 0.000 (multiplicity 1)
Al: 0.007 0.484 0.501 (multiplicity 1)
Al: 0.251 0.366 0.126 (multiplicity 1)
Al: 0.747 0.630 0.877 (multiplicity 1)
Al: 0.758 0.108 0.374 (multiplicity 1)
Ag: 0.250 0.873 0.625 (multiplicity 1)
Ag: 0.494 0.259 0.755 (multiplicity 1)
Ag: 0.512 0.725 0.248 (multiplicity 1)



13.
Calculated powder diffractogram
Compound: Al7Ag4
Radiation: Cu Kα X-rays
Structure: the PBE geometry in Alexandria

Top 6 peaks for 2θ from 10° to 80°, most intense first:
2θ 44.52, rel. 100, hkl 1 -3 0
2θ 36.97, rel. 86, hkl 1 -2 2
2θ 38.08, rel. 85, hkl 1 2 -1
2θ 37.20, rel. 84, hkl 0 1 2
2θ 40.65, rel. 70, hkl -2 1 1
2θ 14.29, rel. 61, hkl 0 0 1

Lattice parameters (Å, degrees): 4.762 6.543 6.639 109.22 93.45 103.98
Space group P-1 (No. 2)
One atom of each set of equivalent atoms:
Al: 0.000 0.000 0.000 (multiplicity 1)
Al: 0.091 0.366 0.812 (multiplicity 2)
Al: 0.187 0.731 0.639 (multiplicity 2)
Al: 0.456 0.821 0.095 (multiplicity 2)
Ag: 0.273 0.095 0.451 (multiplicity 2)
Ag: 0.355 0.450 0.260 (multiplicity 2)



14.
Calculated powder diffractogram
Compound: Al7Ag4
Radiation: Cu Kα X-rays
Structure: the PBE geometry in Alexandria

Top 6 peaks for 2θ from 10° to 80°, most intense first:
2θ 37.86, rel. 100, hkl 1 1 2
2θ 38.65, rel. 91, hkl 5 1 -1
2θ 12.45, rel. 41, hkl 2 0 0
2θ 43.83, rel. 31, hkl 6 0 1
2θ 23.04, rel. 30, hkl 1 1 0
2θ 44.34, rel. 30, hkl 4 0 -3

Lattice parameters (Å, degrees): 14.643 4.011 6.530 90.00 103.74 90.00
Space group Cm (No. 8)
One atom of each set of equivalent atoms:
Al: 0.000 0.000 0.000 (multiplicity 2)
Al: 0.042 0.500 0.727 (multiplicity 2)
Al: 0.087 0.000 0.456 (multiplicity 2)
Al: 0.182 0.000 0.915 (multiplicity 2)
Al: 0.271 0.000 0.367 (multiplicity 2)
Al: 0.407 0.500 0.540 (multiplicity 2)
Al: 0.452 0.000 0.266 (multiplicity 2)
Ag: 0.135 0.500 0.188 (multiplicity 2)
Ag: 0.218 0.500 0.641 (multiplicity 2)
Ag: 0.321 0.500 0.098 (multiplicity 2)
Ag: 0.364 0.000 0.804 (multiplicity 2)